Diffraction record for Mg6BW. The XRD peak list is theoretical, not measured: it uses DFT lattice parameters and positions (GGA-PBE) and Cu Kα (λ = 1.5418 Å).
Kinematic intensities with the Lorentz-polarization factor, no thermal factor.

Atomic structure:
```
Mg6BW
1.0
4.796 0.000 0.000
0.000 2.756 5.384
0.000 -2.756 5.384
Mg B W
6 1 1
direct
0.000 0.000 0.000
0.000 0.001 0.513
0.000 0.487 0.487
0.000 0.513 0.001
0.500 0.353 0.855
0.500 0.855 0.353
0.500 0.344 0.344
0.500 0.857 0.857
```

Largest 12 diffraction maxima, by angle, 5 to 70 degrees two-theta:
2θ (°), I/Imax
16.47, 45
18.08, 100
18.50, 31
24.86, 27
25.98, 86
29.70, 29
35.22, 42
36.63, 34
37.51, 33
38.35, 58
41.34, 68
41.94, 25